Diffraction record for Cs5K12Tl2. The X-ray diffraction stick pattern is computed, not measured: it uses a DFT-relaxed cell (PBE, Alexandria) and Cu Kα (λ = 1.5418 Å).
Intensities are scaled so that the largest is 100.

Structural model:
Cell: 26.181 9.287 12.026 Å, 90.00 102.18 90.00°
Space group C2/m (No. 12)
Asymmetric unit:
Cs 0.000 0.000 0.000 x2
Cs 0.160 0.500 0.671 x4
Cs 0.235 0.000 0.657 x4
K 0.019 0.500 0.816 x4
K 0.055 0.000 0.655 x4
K 0.105 0.233 0.346 x8
K 0.166 0.239 0.020 x8
Tl 0.000 0.338 0.500 x4

Peak list (6 most intense, 15 to 90 degrees two-theta, in order of rising 2θ)
index	two_theta	I/Imax
2 0 -2	15.20	40
2 2 1	22.24	100
5 1 1	22.50	42
4 0 2	22.63	53
7 1 -1	25.79	41
7 3 2	43.17	33

=====

Diffraction record for CsLa. The X-ray diffraction stick pattern is computed, not measured: it uses a DFT-relaxed cell (PBE, Alexandria) and Cu Kα (λ = 1.5418 Å).
Intensities are scaled so that the largest is 100.

Structural model:
Cell: 3.890 16.374 11.979 Å, 90.00 90.00 90.00°
Space group Pmmn (No. 59, origin choice 2)
Asymmetric unit:
Cs 0.250 0.084 0.187 x4
Cs 0.250 0.750 0.186 x2
La 0.250 0.250 0.467 x2
La 0.250 0.583 0.464 x4

Peak list (6 most intense, 15 to 90 degrees two-theta, in order of rising 2θ)
index	two_theta	I/Imax
0 3 2	22.03	63
0 0 3	22.26	71
1 0 1	24.05	50
1 3 1	29.16	93
1 3 2	31.96	100
0 3 5	41.12	40

=====

Diffraction record for CsLiLaSe2. The X-ray diffraction stick pattern is computed, not measured: it uses a DFT-relaxed cell (PBE, Alexandria) and Cu Kα (λ = 1.5418 Å).
Intensities are scaled so that the largest is 100.

Structural model:
Cell: 6.752 15.846 6.850 Å, 90.00 90.00 90.00°
Space group Cmme (No. 67)
Asymmetric unit:
Cs 0.000 0.250 0.225 x4
Li 0.000 0.000 0.000 x4
La 0.250 0.000 0.500 x4
Se 0.000 0.110 0.752 x8

Peak list (6 most intense, 15 to 90 degrees two-theta, in order of rising 2θ)
index	two_theta	I/Imax
0 2 1	17.11	39
1 3 1	25.04	100
0 2 2	28.39	28
2 2 0	28.75	26
2 0 2	37.40	54
0 8 0	45.80	34

=====

Diffraction record for Cs3LaNb2O8. The X-ray diffraction stick pattern is computed, not measured: it uses a DFT-relaxed cell (PBE, Alexandria) and Cu Kα (λ = 1.5418 Å).
Intensities are scaled so that the largest is 100.

Structural model:
Cell: 6.5335 6.5335 8.5242 Å, 90.00 90.00 120.00°
Space group P-3m1 (No. 164)
Asymmetric unit:
Cs 0.0000 0.0000 0.0000 x1
Cs 0.3333 0.6667 0.7107 x2
La 0.0000 0.0000 0.5000 x1
Nb 0.3333 0.6667 0.2598 x2
O 0.1744 0.3488 0.3330 x6
O 0.3333 0.6667 0.0459 x2

Peak list (6 most intense, 15 to 90 degrees two-theta, in order of rising 2θ)
index	two_theta	I/Imax
0 1 2	26.18	91
1 1 0	27.30	100
2 0 2	38.18	42
1 2 2	47.57	35
3 0 0	48.25	20
1 1 4	51.18	26

=====

Diffraction record for Cs2LaNp3O12. The X-ray diffraction stick pattern is computed, not measured: it uses a DFT-relaxed cell (PBE, Alexandria) and Cu Kα (λ = 1.5418 Å).
Intensities are scaled so that the largest is 100.

Structural model:
Cell: 8.0819 8.0819 19.1167 Å, 90.00 90.00 120.00°
Space group R-3m (No. 166, hexagonal axes)
Asymmetric unit:
Cs 0.0000 0.0000 0.1195 x6
La 0.0000 0.0000 0.5000 x3
Np 0.0000 0.5000 0.0000 x9
O 0.0382 0.5191 0.1008 x18
O 0.0824 0.5412 0.3432 x18

Peak list (6 most intense, 15 to 90 degrees two-theta, in order of rising 2θ)
index	two_theta	I/Imax
0 2 1	25.88	96
1 1 3	26.11	90
0 1 5	26.57	49
2 0 2	27.14	100
2 2 0	44.86	53
2 0 8	45.99	42

=====

Diffraction record for Cs3La2NpSe6. The X-ray diffraction stick pattern is computed, not measured: it uses a DFT-relaxed cell (PBE, Alexandria) and Cu Kα (λ = 1.5418 Å).
Intensities are scaled so that the largest is 100.

Structural model:
Cell: 7.724 13.375 8.761 Å, 90.00 107.06 90.00°
Space group C2/m (No. 12)
Asymmetric unit:
Cs 0.000 0.000 0.000 x2
Cs 0.000 0.332 0.000 x4
La 0.000 0.166 0.500 x4
Np 0.000 0.500 0.500 x2
Se 0.226 0.337 0.689 x8
Se 0.237 0.000 0.690 x4

Peak list (6 most intense, 15 to 90 degrees two-theta, in order of rising 2θ)
index	two_theta	I/Imax
2 0 0	24.11	14
1 3 1	27.11	100
2 0 2	36.89	34
0 6 0	40.46	37
4 0 0	49.38	19
4 6 0	65.68	16

=====

Diffraction record for Cs2LaPO. The X-ray diffraction stick pattern is computed, not measured: it uses a DFT-relaxed cell (PBE, Alexandria) and Cu Kα (λ = 1.5418 Å).
Intensities are scaled so that the largest is 100.

Structural model:
Cell: 8.429 4.884 10.834 Å, 90.00 107.33 90.00°
Space group Cm (No. 8)
Asymmetric unit:
Cs 0.000 0.000 0.000 x2
Cs 0.225 0.000 0.594 x2
La 0.275 0.500 0.286 x2
P 0.481 0.000 0.389 x2
O 0.199 0.500 0.086 x2

Peak list (6 most intense, 15 to 90 degrees two-theta, in order of rising 2θ)
index	two_theta	I/Imax
2 0 -2	23.63	41
1 1 1	24.19	100
1 1 -2	25.26	63
0 0 3	25.84	34
2 0 1	26.05	28
3 1 -1	36.93	49

=====

Diffraction record for CsLa4Pb3O12. The X-ray diffraction stick pattern is computed, not measured: it uses a DFT-relaxed cell (PBE, Alexandria) and Cu Kα (λ = 1.5418 Å).
Intensities are scaled so that the largest is 100.

Structural model:
Cell: 8.952 8.952 8.952 Å, 90.00 90.00 90.00°
Space group Im-3 (No. 204)
Asymmetric unit:
Cs 0.000 0.000 0.000 x2
La 0.250 0.250 0.250 x8
Pb 0.000 0.000 0.500 x6
O 0.000 0.325 0.173 x24

Peak list (6 most intense, 15 to 90 degrees two-theta, in order of rising 2θ)
index	two_theta	I/Imax
2 2 0	28.20	100
4 0 0	40.30	22
4 2 2	49.91	49
4 4 0	58.31	14
6 2 0	66.01	20
6 2 4	80.25	22

=====

Diffraction record for Cs2LaPrO4. The X-ray diffraction stick pattern is computed, not measured: it uses a DFT-relaxed cell (PBE, Alexandria) and Cu Kα (λ = 1.5418 Å).
Intensities are scaled so that the largest is 100.

Structural model:
Cell: 6.515 3.761 7.290 Å, 90.00 107.36 90.00°
Space group P2/m (No. 10)
Asymmetric unit:
Cs 0.000 0.000 0.000 x1
Cs 0.500 0.500 0.000 x1
La 0.000 0.500 0.500 x1
Pr 0.500 0.000 0.500 x1
O 0.225 0.000 0.670 x2
O 0.278 0.500 0.329 x2

Peak list (6 most intense, 15 to 90 degrees two-theta, in order of rising 2θ)
index	two_theta	I/Imax
0 0 2	25.61	44
2 0 0	28.71	87
1 1 1	32.40	100
2 0 2	44.49	36
0 2 0	48.40	33
3 1 1	55.55	31

=====

Diffraction record for Cs4La3PtO8. The X-ray diffraction stick pattern is computed, not measured: it uses a DFT-relaxed cell (PBE, Alexandria) and Cu Kα (λ = 1.5418 Å).
Intensities are scaled so that the largest is 100.

Structural model:
Cell: 13.567 7.146 7.848 Å, 90.00 116.75 90.00°
Space group C2/m (No. 12)
Asymmetric unit:
Cs 0.000 0.000 0.000 x2
Cs 0.000 0.500 0.000 x2
Cs 0.250 0.250 0.000 x4
La 0.000 0.000 0.500 x2
La 0.250 0.250 0.500 x4
Pt 0.000 0.500 0.500 x2
O 0.034 0.289 0.357 x8
O 0.203 0.000 0.668 x4
O 0.213 0.000 0.285 x4

Peak list (6 most intense, 15 to 90 degrees two-theta, in order of rising 2θ)
index	two_theta	I/Imax
0 0 2	25.42	52
4 0 -2	29.02	100
4 0 0	29.49	45
2 2 -2	34.10	62
2 2 2	43.34	28
6 2 -2	47.95	23

=====

Diffraction record for CsLaPu2O7. The X-ray diffraction stick pattern is computed, not measured: it uses a DFT-relaxed cell (PBE, Alexandria) and Cu Kα (λ = 1.5418 Å).
Intensities are scaled so that the largest is 100.

Structural model:
Cell: 4.291 4.291 11.215 Å, 90.00 90.00 90.00°
Space group P4/mmm (No. 123)
Asymmetric unit:
Cs 0.000 0.000 0.000 x1
La 0.000 0.000 0.500 x1
Pu 0.500 0.500 0.312 x2
O 0.000 0.500 0.354 x4
O 0.500 0.500 0.141 x2
O 0.500 0.500 0.500 x1

Peak list (6 most intense, 15 to 90 degrees two-theta, in order of rising 2θ)
index	two_theta	I/Imax
0 0 3	23.80	17
1 0 2	26.15	100
1 1 0	29.44	55
1 0 3	31.75	26
2 0 0	42.12	29
2 1 2	50.25	34

=====

Diffraction record for Cs4LaPu3O12. The X-ray diffraction stick pattern is computed, not measured: it uses a DFT-relaxed cell (PBE, Alexandria) and Cu Kα (λ = 1.5418 Å).
Intensities are scaled so that the largest is 100.

Structural model:
Cell: 8.880 8.880 8.880 Å, 90.00 90.00 90.00°
Space group Im-3m (No. 229)
Asymmetric unit:
Cs 0.250 0.250 0.250 x8
La 0.000 0.000 0.000 x2
Pu 0.000 0.000 0.500 x6
O 0.000 0.000 0.275 x12
O 0.000 0.250 0.500 x12

Peak list (6 most intense, 15 to 90 degrees two-theta, in order of rising 2θ)
index	two_theta	I/Imax
2 2 0	28.43	100
4 0 0	40.64	27
4 2 2	50.34	42
4 4 0	58.82	18
6 2 0	66.60	19
6 4 2	81.03	22